Structure and theoretical X-ray powder pattern of PmNdErTh2 (a PBE-relaxed structure; Cu Ka).
Neutral-atom scattering factors, no anomalous dispersion.

Structural model:
abc: 8.543 8.543 6.716
angles: 90.00 90.00 133.78
Fractional coordinates of all 10 atoms:
Pm 0.152 0.848 0.750
Pm 0.848 0.152 0.250
Nd 0.256 0.744 0.250
Nd 0.744 0.256 0.750
Er 0.349 0.651 0.750
Er 0.651 0.349 0.250
Th 0.252 0.252 0.000
Th 0.252 0.252 0.500
Th 0.748 0.748 0.000
Th 0.748 0.748 0.500

Most intense lines, 2θ from 15° to 90°, low angle first:
d/Å  I/Imax
3.517  161
3.086  1000
2.620  388
2.552  382
2.373  419
1.966  130
1.759  307
1.678  147
1.513  128
1.423  168

---

Structure and theoretical X-ray powder pattern of PmNd3Er6Th2 (a PBE-relaxed structure; Cu Ka).
Neutral-atom scattering factors, no anomalous dispersion.

Structural model:
abc: 6.212 6.212 11.721
angles: 95.09 95.09 119.98
Fractional coordinates of all 12 atoms:
Pm 0.000 0.000 0.000
Nd 0.166 0.834 0.500
Nd 0.500 0.500 0.500
Nd 0.834 0.166 0.500
Er 0.082 0.420 0.245
Er 0.256 0.256 0.754
Er 0.420 0.082 0.245
Er 0.580 0.918 0.755
Er 0.744 0.744 0.246
Er 0.918 0.580 0.755
Th 0.333 0.667 0.000
Th 0.667 0.333 0.000

Most intense lines, 2θ from 15° to 90°, low angle first:
d/Å  I/Imax
2.923  1000
2.884  320
2.523  669
1.793  244
1.775  235
1.529  145
1.523  285
1.512  138
1.462  125
1.163  120

---

Structure and theoretical X-ray powder pattern of PmNdErTl (a PBE-relaxed structure; Cu Ka).
Neutral-atom scattering factors, no anomalous dispersion.

Structural model:
abc: 4.880 4.894 5.004
angles: 90.00 90.00 90.00
Fractional coordinates of all 4 atoms:
Pm 0.000 0.000 0.000
Nd 0.500 0.500 0.000
Er 0.000 0.500 0.500
Tl 0.500 0.000 0.500

Most intense lines, 2θ from 15° to 90°, low angle first:
d/Å  I/Imax
2.844  1000
2.502  176
2.447  165
2.440  164
1.748  242
1.728  116
1.502  147
1.478  139
1.475  139
1.422  122

---

Structure and theoretical X-ray powder pattern of PmNd6Er2Tm (a PBE-relaxed structure; Cu Ka).
Neutral-atom scattering factors, no anomalous dispersion.

Structural model:
abc: 8.949 8.949 9.623
angles: 93.55 93.55 117.25
Fractional coordinates of all 20 atoms:
Pm 0.029 0.971 0.750
Pm 0.971 0.029 0.250
Nd 0.006 0.561 0.687
Nd 0.116 0.762 0.055
Nd 0.238 0.884 0.445
Nd 0.293 0.514 0.883
Nd 0.439 0.994 0.813
Nd 0.486 0.707 0.617
Nd 0.514 0.293 0.383
Nd 0.561 0.006 0.187
Nd 0.707 0.486 0.117
Nd 0.762 0.116 0.555
Nd 0.884 0.238 0.945
Nd 0.994 0.439 0.313
Er 0.203 0.301 0.548
Er 0.301 0.203 0.048
Er 0.699 0.797 0.952
Er 0.797 0.699 0.452
Tm 0.412 0.588 0.250
Tm 0.588 0.412 0.750

Most intense lines, 2θ from 15° to 90°, low angle first:
d/Å  I/Imax
3.212  246
3.171  424
2.984  563
2.941  665
2.904  1000
2.877  399
2.806  235
2.666  389
2.614  199
1.978  155

---

Structure and theoretical X-ray powder pattern of Pm2NdEr2Tm2 (a PBE-relaxed structure; Cu Ka).
Neutral-atom scattering factors, no anomalous dispersion.

Structural model:
abc: 9.008 9.008 8.387
angles: 116.04 116.04 22.35
Fractional coordinates of all 7 atoms:
Pm 0.148 0.148 0.385
Pm 0.852 0.852 0.615
Nd 0.500 0.500 0.500
Er 0.289 0.289 0.200
Er 0.711 0.711 0.800
Tm 0.071 0.071 0.907
Tm 0.929 0.929 0.093

Most intense lines, 2θ from 15° to 90°, low angle first:
d/Å  I/Imax
3.224  429
2.924  1000
2.738  386
2.637  494
2.512  394
2.344  213
1.714  187
1.661  130
1.499  271
1.482  134

---

Structure and theoretical X-ray powder pattern of PmNd5ErTm2 (a PBE-relaxed structure; Cu Ka).
Neutral-atom scattering factors, no anomalous dispersion.

Structural model:
abc: 10.584 10.584 10.760
angles: 90.00 90.00 149.10
Fractional coordinates of all 18 atoms:
Pm 0.201 0.799 0.500
Pm 0.799 0.201 0.000
Nd 0.016 0.984 0.511
Nd 0.281 0.719 0.800
Nd 0.296 0.704 0.194
Nd 0.389 0.611 0.514
Nd 0.481 0.519 0.234
Nd 0.519 0.481 0.734
Nd 0.611 0.389 0.014
Nd 0.704 0.296 0.694
Nd 0.719 0.281 0.300
Nd 0.984 0.016 0.011
Er 0.409 0.591 0.951
Er 0.591 0.409 0.451
Tm 0.110 0.890 0.231
Tm 0.115 0.885 0.802
Tm 0.885 0.115 0.302
Tm 0.890 0.110 0.731

Most intense lines, 2θ from 15° to 90°, low angle first:
d/Å  I/Imax
3.380  75
3.242  98
2.994  223
2.817  1000
2.690  96
1.946  75
1.818  70
1.627  165
1.581  83
1.528  79

---

Structure and theoretical X-ray powder pattern of PmNdEr5Tm2 (a PBE-relaxed structure; Cu Ka).
Neutral-atom scattering factors, no anomalous dispersion.

Structural model:
abc: 10.216 10.216 10.584
angles: 90.00 90.00 148.35
Fractional coordinates of all 18 atoms:
Pm 0.083 0.917 0.500
Pm 0.917 0.083 0.000
Nd 0.298 0.702 0.061
Nd 0.702 0.298 0.561
Er 0.022 0.978 0.785
Er 0.107 0.893 0.073
Er 0.201 0.799 0.758
Er 0.218 0.782 0.357
Er 0.483 0.517 0.077
Er 0.517 0.483 0.577
Er 0.782 0.218 0.857
Er 0.799 0.201 0.258
Er 0.893 0.107 0.573
Er 0.978 0.022 0.285
Tm 0.387 0.613 0.369
Tm 0.391 0.609 0.787
Tm 0.609 0.391 0.287
Tm 0.613 0.387 0.869

Most intense lines, 2θ from 15° to 90°, low angle first:
d/Å  I/Imax
3.130  177
2.947  380
2.786  423
2.746  1000
2.646  120
2.081  113
1.778  110
1.601  199
1.533  140
1.499  126

---

Structure and theoretical X-ray powder pattern of PmNd2Er2Tm (a PBE-relaxed structure; Cu Ka).
Neutral-atom scattering factors, no anomalous dispersion.

Structural model:
abc: 6.985 5.668 9.859
angles: 90.00 90.00 90.00
Fractional coordinates of all 12 atoms:
Pm 0.000 0.000 0.000
Pm 0.500 0.000 0.000
Nd 0.000 0.500 0.500
Nd 0.250 0.000 0.330
Nd 0.500 0.500 0.500
Nd 0.750 0.000 0.670
Er 0.250 0.000 0.666
Er 0.250 0.500 0.167
Er 0.750 0.000 0.334
Er 0.750 0.500 0.833
Tm 0.250 0.500 0.836
Tm 0.750 0.500 0.164

Most intense lines, 2θ from 15° to 90°, low angle first:
d/Å  I/Imax
2.846  1000
2.834  216
2.203  90
2.014  71
2.009  138
1.643  73
1.642  117
1.638  158
1.487  193
1.195  60

---

Structure and theoretical X-ray powder pattern of PmNd2YEr2 (a PBE-relaxed structure; Cu Ka).
Neutral-atom scattering factors, no anomalous dispersion.

Structural model:
abc: 7.082 9.844 5.674
angles: 90.00 90.00 90.00
Fractional coordinates of all 12 atoms:
Pm 0.000 0.000 0.000
Pm 0.500 0.500 0.500
Nd 0.248 0.333 0.000
Nd 0.252 0.833 0.500
Nd 0.748 0.167 0.500
Nd 0.752 0.667 0.000
Y 0.000 0.500 0.500
Y 0.500 0.000 0.000
Er 0.249 0.167 0.500
Er 0.251 0.667 0.000
Er 0.749 0.333 0.000
Er 0.751 0.833 0.500

Most intense lines, 2θ from 15° to 90°, low angle first:
d/Å  I/Imax
3.541  116
2.874  843
2.839  1000
2.215  198
2.020  307
1.646  321
1.639  195
1.502  291
1.420  120
1.203  140

---

Structure and theoretical X-ray powder pattern of PmNd2Y5Er (a PBE-relaxed structure; Cu Ka).
Neutral-atom scattering factors, no anomalous dispersion.

Structural model:
abc: 9.954 9.954 9.954
angles: 127.83 127.83 76.89
Fractional coordinates of all 18 atoms:
Pm 0.250 0.250 0.000
Pm 0.750 0.750 0.000
Nd 0.117 0.617 0.734
Nd 0.383 0.117 0.500
Nd 0.617 0.883 0.500
Nd 0.883 0.383 0.266
Y 0.000 0.000 0.000
Y 0.072 0.152 0.500
Y 0.152 0.652 0.080
Y 0.348 0.428 0.500
Y 0.428 0.928 0.080
Y 0.500 0.500 0.000
Y 0.572 0.072 0.920
Y 0.652 0.572 0.500
Y 0.848 0.348 0.920
Y 0.928 0.848 0.500
Er 0.250 0.750 0.500
Er 0.750 0.250 0.500

Most intense lines, 2θ from 15° to 90°, low angle first:
d/Å  I/Imax
3.127  516
3.095  513
2.911  1000
2.608  139
2.439  148
2.399  218
2.106  292
1.949  139
1.749  234
1.649  133

---

Structure and theoretical X-ray powder pattern of PmNdY5Er2 (a PBE-relaxed structure; Cu Ka).
Neutral-atom scattering factors, no anomalous dispersion.

Structural model:
abc: 10.456 10.456 10.508
angles: 90.00 90.00 148.63
Fractional coordinates of all 18 atoms:
Pm 0.197 0.803 0.500
Pm 0.803 0.197 0.000
Nd 0.415 0.585 0.930
Nd 0.585 0.415 0.430
Y 0.016 0.984 0.509
Y 0.278 0.722 0.803
Y 0.299 0.701 0.193
Y 0.387 0.613 0.510
Y 0.477 0.523 0.221
Y 0.523 0.477 0.721
Y 0.613 0.387 0.010
Y 0.701 0.299 0.693
Y 0.722 0.278 0.303
Y 0.984 0.016 0.009
Er 0.112 0.888 0.219
Er 0.113 0.887 0.806
Er 0.887 0.113 0.306
Er 0.888 0.112 0.719

Most intense lines, 2θ from 15° to 90°, low angle first:
d/Å  I/Imax
3.197  181
2.945  435
2.827  462
2.782  1000
2.722  99
2.117  113
1.781  112
1.623  215
1.559  141
1.507  129

---

Structure and theoretical X-ray powder pattern of Pr4Nd3Er4 (a PBE-relaxed structure; Cu Ka).
Neutral-atom scattering factors, no anomalous dispersion.

Structural model:
abc: 10.848 6.713 6.713
angles: 50.93 90.00 90.00
Fractional coordinates of all 11 atoms:
Pr 0.000 0.000 0.000
Pr 0.212 0.793 0.793
Pr 0.500 0.922 0.922
Pr 0.788 0.793 0.793
Nd 0.000 0.293 0.293
Nd 0.289 0.453 0.453
Nd 0.711 0.453 0.453
Er 0.000 0.596 0.596
Er 0.305 0.146 0.146
Er 0.500 0.649 0.649
Er 0.695 0.146 0.146

Most intense lines, 2θ from 15° to 90°, low angle first:
d/Å  I/Imax
2.971  305
2.919  158
2.886  380
2.826  1000
2.712  153
2.052  116
1.976  122
1.655  276
1.508  133
1.505  130